(1)
The following is a computed powder diffraction line list of Zn2Ag. It was derived from a DFT-relaxed cell (PBE, Alexandria), using Cu Kα X-rays.
Peak positions follow from Bragg's law for the DFT cell and can differ from measured ones.

Largest 12 diffraction maxima, sorted by position, 2θ from 5° to 70°:
two_theta, I (rel.)
35.2, 42
38.1, 75
40.9, 12
41.5, 100
42.4, 64
43.2, 15
46.5, 7
48.1, 5
59.0, 5
63.2, 7
65.1, 27
67.5, 22

Lattice parameters (Å, degrees): 5.096 5.096 8.379 90.00 90.00 120.00
Sites, in units of the cell vectors:
Zn1 0.000 0.000 0.000
Zn2 0.000 0.000 0.500
Zn3 0.170 0.340 0.250
Zn4 0.170 0.830 0.250
Zn5 0.340 0.170 0.750
Zn6 0.660 0.830 0.250
Zn7 0.830 0.170 0.750
Zn8 0.830 0.660 0.750
Ag1 0.333 0.667 0.558
Ag2 0.333 0.667 0.942
Ag3 0.667 0.333 0.058
Ag4 0.667 0.333 0.442



(2)
The following is a computed powder diffraction line list of Zn13Ag. It was derived from a DFT-relaxed cell (PBE, Alexandria), using Cu Kα X-rays.
Peak positions follow from Bragg's law for the DFT cell and can differ from measured ones.

Largest 12 diffraction maxima, sorted by position, 2θ from 5° to 70°:
two_theta, I (rel.)
14.5, 8
29.3, 5
32.8, 30
36.0, 74
43.9, 100
44.5, 26
47.1, 13
51.9, 7
54.2, 9
56.4, 10
60.7, 7
62.7, 11

Lattice parameters (Å, degrees): 8.636 8.636 8.636 60.00 60.00 60.00
Sites, in units of the cell vectors:
Zn1 0.000 0.000 0.000
Zn2 0.062 0.301 0.699
Zn3 0.062 0.699 0.938
Zn4 0.062 0.938 0.301
Zn5 0.199 0.438 0.801
Zn6 0.199 0.562 0.438
Zn7 0.199 0.801 0.562
Zn8 0.301 0.062 0.938
Zn9 0.301 0.699 0.062
Zn10 0.301 0.938 0.699
Zn11 0.438 0.199 0.562
Zn12 0.438 0.562 0.801
Zn13 0.438 0.801 0.199
Zn14 0.500 0.500 0.500
Zn15 0.562 0.199 0.801
Zn16 0.562 0.438 0.199
Zn17 0.562 0.801 0.438
Zn18 0.699 0.062 0.301
Zn19 0.699 0.301 0.938
Zn20 0.699 0.938 0.062
Zn21 0.801 0.199 0.438
Zn22 0.801 0.438 0.562
Zn23 0.801 0.562 0.199
Zn24 0.938 0.062 0.699
Zn25 0.938 0.301 0.062
Zn26 0.938 0.699 0.301
Ag1 0.250 0.250 0.250
Ag2 0.750 0.750 0.750



(3)
The following is a computed powder diffraction line list of ZnAg6. It was derived from a DFT-relaxed cell (PBE, Alexandria), using Cu Kα X-rays.
Peak positions follow from Bragg's law for the DFT cell and can differ from measured ones.

Largest 5 diffraction maxima, sorted by position, 2θ from 5° to 70°:
two_theta, I (rel.)
22.6, 1
28.6, 1
31.7, 1
38.9, 100
56.2, 16

Lattice parameters (Å, degrees): 7.131 7.131 7.131 37.90 37.90 37.90
Sites, in units of the cell vectors:
Zn1 0.000 0.000 0.000
Ag1 0.141 0.141 0.141
Ag2 0.288 0.288 0.288
Ag3 0.429 0.429 0.429
Ag4 0.571 0.571 0.571
Ag5 0.712 0.712 0.712
Ag6 0.859 0.859 0.859



Q: Which formula does entry 3 have?
A: ZnAg6